# 1
Computed PXRD pattern
Compound: Mn2CdN2
Radiation: Cu Ka
Structure: DFT lattice parameters and positions (GGA-PBE)

Top 10 peaks for 2θ from 5° to 70°, most intense first:
Position (°2θ), I_rel
32.8, 100
43.8, 48
23.8, 41
32.9, 40
36.0, 38
45.0, 30
40.0, 27
58.9, 22
50.9, 19
56.6, 15

```
Mn2CdN2
1.0
5.443 0.000 0.000
0.000 3.251 0.000
-2.357 0.000 7.481
Mn Cd N
4 2 4
Direct
0.218 0.000 0.113 Mn
0.282 0.500 0.887 Mn
0.718 0.500 0.113 Mn
0.782 0.000 0.887 Mn
0.000 0.500 0.500 Cd
0.500 0.000 0.500 Cd
0.105 0.000 0.847 N
0.395 0.500 0.153 N
0.605 0.500 0.847 N
0.895 0.000 0.153 N
```

---

# 2
Computed PXRD pattern
Compound: MnCd3N3
Radiation: Cu Ka
Structure: DFT lattice parameters and positions (GGA-PBE)

Top 10 peaks for 2θ from 5° to 70°, most intense first:
Position (°2θ), I_rel
34.4, 100
28.7, 42
37.7, 29
50.8, 24
65.0, 22
48.1, 19
38.2, 16
66.0, 15
23.5, 12
54.8, 10

```
MnCd3N3
1.0
3.600 -6.222 0.000
3.600 6.222 0.000
0.000 0.000 4.768
Mn Cd N
2 6 6
Direct
0.167 0.833 0.750 Mn
0.833 0.167 0.250 Mn
0.127 0.313 0.750 Cd
0.313 0.127 0.250 Cd
0.314 0.686 0.250 Cd
0.686 0.314 0.750 Cd
0.687 0.873 0.750 Cd
0.873 0.687 0.250 Cd
0.120 0.310 0.250 N
0.310 0.120 0.750 N
0.311 0.689 0.750 N
0.689 0.311 0.250 N
0.690 0.880 0.250 N
0.880 0.690 0.750 N
```

---

# 3
Computed PXRD pattern
Compound: Mn2CdN2
Radiation: Cu Ka
Structure: DFT lattice parameters and positions (GGA-PBE)

Top 10 peaks for 2θ from 5° to 70°, most intense first:
Position (°2θ), I_rel
47.3, 100
36.5, 80
22.6, 68
32.2, 64
43.0, 60
34.1, 53
67.0, 39
52.3, 28
32.7, 25
51.6, 16

```
Mn2CdN2
1.0
2.783 0.000 0.000
0.000 15.759 0.000
0.000 0.000 2.827
Mn Cd N
4 2 4
Direct
0.250 0.055 0.247 Mn
0.250 0.445 0.247 Mn
0.750 0.555 0.753 Mn
0.750 0.945 0.753 Mn
0.250 0.750 0.782 Cd
0.750 0.250 0.218 Cd
0.250 0.572 0.255 N
0.250 0.928 0.255 N
0.750 0.072 0.745 N
0.750 0.428 0.745 N
```

---

# 4
Computed PXRD pattern
Compound: MnCdS2
Radiation: Cu Ka
Structure: DFT lattice parameters and positions (GGA-PBE)

Top 10 peaks for 2θ from 5° to 70°, most intense first:
Position (°2θ), I_rel
26.7, 100
52.5, 41
44.3, 40
44.5, 38
26.9, 32
31.0, 22
52.7, 14
13.3, 13
64.6, 12
25.5, 10

```
MnCdS2
1.0
4.092 0.000 0.000
-2.046 3.544 0.000
0.000 0.000 19.915
Mn Cd S
3 3 6
Direct
0.000 0.000 0.000 Mn
0.333 0.667 0.667 Mn
0.667 0.333 0.333 Mn
0.000 0.000 0.498 Cd
0.333 0.667 0.165 Cd
0.667 0.333 0.832 Cd
0.000 0.000 0.369 S
0.000 0.000 0.880 S
0.333 0.667 0.036 S
0.333 0.667 0.546 S
0.667 0.333 0.213 S
0.667 0.333 0.703 S
```